# 1
Diffraction record for CaInRh. The XRD peak list is computed, not measured: it uses DFT lattice parameters and positions (GGA-PBE) and Cu Kα, 1.54184 Å.
Kinematic intensities with the Lorentz-polarization factor, no thermal factor.

Most intense lines, 2θ from 15° to 90°, most intense first:
- (0 1 3), 38.25 deg, rel. 100
- (2 1 1), 33.63 deg, rel. 68
- (1 1 2), 32.00 deg, rel. 55
- (0 2 0), 41.37 deg, rel. 45
- (1 0 1), 16.03 deg, rel. 44
- (0 1 1), 22.97 deg, rel. 43
- (1 1 3), 40.22 deg, rel. 33
- (2 0 0), 24.22 deg, rel. 25
- (5 1 1), 68.27 deg, rel. 24
- (3 2 1), 57.63 deg, rel. 23

Atomic structure:
Unit cell a=7.349 b=4.365 c=8.388 alpha=90.00 beta=90.00 gamma=90.00
Space group Pnma (No. 62)
Asymmetric unit:
Ca 0.025 0.250 0.176
In 0.151 0.250 0.566
Rh 0.223 0.750 0.376

=====

# 2
Diffraction record for CeSiIr2. The XRD peak list is computed, not measured: it uses DFT lattice parameters and positions (GGA-PBE) and Cu Kα, 1.54184 Å.
Kinematic intensities with the Lorentz-polarization factor, no thermal factor.

Most intense lines, 2θ from 15° to 90°, most intense first:
- (1 1 6), 34.68 deg, rel. 100
- (2 0 0), 44.72 deg, rel. 35
- (3 1 6), 75.91 deg, rel. 21
- (1 0 11), 35.21 deg, rel. 18
- (0 0 12), 29.73 deg, rel. 16
- (1 1 14), 47.46 deg, rel. 13
- (2 0 12), 54.63 deg, rel. 12
- (2 2 0), 65.10 deg, rel. 12
- (1 0 17), 48.44 deg, rel. 11
- (0 0 8), 19.69 deg, rel. 10

Atomic structure:
Unit cell a=4.053 b=4.053 c=36.061 alpha=90.00 beta=90.00 gamma=90.00
Space group I4_1/amd (No. 141, origin choice 2)
Asymmetric unit:
Ce 0.000 0.250 0.051
Si 0.000 0.250 0.161
Ir 0.000 0.250 0.227
Ir 0.000 0.250 0.375
Ir 0.000 0.250 0.875

=====

# 3
Diffraction record for ErRh2Pb. The XRD peak list is computed, not measured: it uses DFT lattice parameters and positions (GGA-PBE) and Cu Kα, 1.54184 Å.
Kinematic intensities with the Lorentz-polarization factor, no thermal factor.

Most intense lines, 2θ from 15° to 90°, most intense first:
- (2 2 0), 37.86 deg, rel. 100
- (4 2 2), 68.37 deg, rel. 35
- (4 0 0), 54.62 deg, rel. 17
- (4 4 0), 80.90 deg, rel. 11
- (2 0 0), 26.52 deg, rel. 9
- (4 2 0), 61.72 deg, rel. 4
- (2 2 2), 46.82 deg, rel. 3
- (6 0 0), 86.97 deg, rel. 2
- (1 1 1), 22.92 deg, rel. 1
- (3 1 1), 44.72 deg, rel. 1

Atomic structure:
Unit cell a=6.722 b=6.722 c=6.722 alpha=90.00 beta=90.00 gamma=90.00
Space group Fm-3m (No. 225)
Asymmetric unit:
Er 0.000 0.000 0.000
Rh 0.250 0.250 0.250
Pb 0.000 0.000 0.500

=====

# 4
Diffraction record for K4P4O5. The XRD peak list is computed, not measured: it uses DFT lattice parameters and positions (GGA-PBE) and Cu Kα, 1.54184 Å.
Kinematic intensities with the Lorentz-polarization factor, no thermal factor.

Most intense lines, 2θ from 15° to 90°, most intense first:
- (0 4 1), 29.27 deg, rel. 100
- (2 4 -1), 36.49 deg, rel. 55
- (2 1 0), 30.26 deg, rel. 34
- (1 2 -1), 19.49 deg, rel. 33
- (1 2 -3), 41.35 deg, rel. 29
- (2 0 -2), 29.92 deg, rel. 26
- (2 0 0), 29.57 deg, rel. 25
- (0 1 1), 15.78 deg, rel. 22
- (0 0 2), 29.16 deg, rel. 20
- (1 2 -2), 28.53 deg, rel. 19

Atomic structure:
Unit cell a=6.893 b=14.078 c=6.987 alpha=90.00 beta=118.76 gamma=90.00
Space group P2_1 (No. 4)
Asymmetric unit:
K 0.053 0.000 0.468
K 0.118 0.896 0.018
K 0.430 0.264 0.457
K 0.444 0.662 0.952
P 0.007 0.749 0.458
P 0.151 0.610 0.250
P 0.415 0.515 0.358
P 0.417 0.441 0.113
O 0.059 0.775 0.692
O 0.067 0.825 0.340
O 0.184 0.659 0.494
O 0.225 0.206 0.674
O 0.418 0.013 0.395

=====

# 5
Diffraction record for KSb5S8. The XRD peak list is computed, not measured: it uses DFT lattice parameters and positions (GGA-PBE) and Cu Kα, 1.54184 Å.
Kinematic intensities with the Lorentz-polarization factor, no thermal factor.

Most intense lines, 2θ from 15° to 90°, most intense first:
- (2 2 -4), 29.84 deg, rel. 100
- (2 3 0), 31.55 deg, rel. 69
- (0 7 2), 37.49 deg, rel. 59
- (1 5 -1), 24.81 deg, rel. 55
- (2 4 -2), 27.44 deg, rel. 48
- (1 1 1), 22.44 deg, rel. 43
- (1 2 1), 23.73 deg, rel. 43
- (1 3 -1), 16.94 deg, rel. 41
- (3 6 -1), 46.36 deg, rel. 40
- (3 1 -3), 31.37 deg, rel. 37

Atomic structure:
Unit cell a=8.649 b=19.719 c=12.573 alpha=90.00 beta=133.29 gamma=90.00
Space group Pc (No. 7)
Asymmetric unit:
K 0.000 0.051 0.000
K 0.061 0.447 0.264
Sb 0.079 0.130 0.738
Sb 0.278 0.262 0.259
Sb 0.284 0.230 0.565
Sb 0.435 0.369 0.060
Sb 0.498 0.461 0.718
Sb 0.511 0.045 0.469
Sb 0.679 0.153 0.301
Sb 0.703 0.216 0.011
Sb 0.867 0.287 0.816
Sb 0.933 0.350 0.538
S 0.053 0.397 0.850
S 0.060 0.162 0.223
S 0.079 0.112 0.543
S 0.101 0.460 0.554
S 0.261 0.278 0.737
S 0.302 0.227 0.085
S 0.440 0.082 0.959
S 0.473 0.405 0.265
S 0.510 0.341 0.606
S 0.522 0.037 0.278
S 0.530 0.492 0.051
S 0.645 0.197 0.470
S 0.655 0.168 0.811
S 0.873 0.323 0.012
S 0.893 0.019 0.691
S 0.917 0.293 0.355

=====

# 6
Diffraction record for Li2CuSiO4. The XRD peak list is computed, not measured: it uses DFT lattice parameters and positions (GGA-PBE) and Cu Kα, 1.54184 Å.
Kinematic intensities with the Lorentz-polarization factor, no thermal factor.

Most intense lines, 2θ from 15° to 90°, most intense first:
- (1 1 2), 35.64 deg, rel. 100
- (0 0 2), 20.81 deg, rel. 66
- (1 1 0), 28.61 deg, rel. 48
- (2 0 4), 60.33 deg, rel. 31
- (3 1 2), 71.07 deg, rel. 20
- (2 0 2), 46.32 deg, rel. 17
- (2 2 0), 59.22 deg, rel. 16
- (1 0 1), 22.68 deg, rel. 16
- (1 1 4), 51.90 deg, rel. 16
- (2 1 1), 47.27 deg, rel. 15

Atomic structure:
Unit cell a=4.413 b=4.413 c=8.539 alpha=90.00 beta=90.00 gamma=90.00
Space group I-42m (No. 121)
Asymmetric unit:
Li 0.000 0.500 0.250
Cu 0.000 0.000 0.000
Si 0.000 0.000 0.500
O 0.217 0.217 0.610